LiTmZr2N4: simulated X-ray diffraction stick pattern (λ = 1.5418 Å (Cu Kα)), based on a GGA-PBE-relaxed structure.
Kinematic intensities with the Lorentz-polarization factor, no thermal factor.

Crystal structure
Unit cell a=4.624 b=4.624 c=9.115 alpha=90.00 beta=90.00 gamma=90.00
Space group I4/mmm (No. 139)
One atom of each set of equivalent atoms:
Li: 0.000 0.000 0.000 x2
Tm: 0.000 0.000 0.500 x2
Zr: 0.000 0.500 0.250 x4
N: 0.000 0.000 0.252 x4
N: 0.000 0.500 0.000 x4

Principal peaks in the range 2θ from 15° to 90°, by intensity:
| Position (°2θ) | d/Å | I (rel.) | index |
| --- | --- | --- | --- |
| 33.7 | 2.657 | 100.0 | 1 1 2 |
| 21.5 | 4.124 | 88.1 | 1 0 1 |
| 39.0 | 2.312 | 61.5 | 2 0 0 |
| 56.7 | 1.623 | 38.9 | 2 0 4 |
| 39.5 | 2.279 | 29.4 | 0 0 4 |
| 67.2 | 1.392 | 29.2 | 3 1 2 |

---

Ca2SmRh: simulated X-ray diffraction stick pattern (λ = 1.5418 Å (Cu Kα)), based on a GGA-PBE-relaxed structure.
Kinematic intensities with the Lorentz-polarization factor, no thermal factor.

Crystal structure
Unit cell a=7.509 b=9.677 c=6.514 alpha=90.00 beta=90.00 gamma=90.00
Space group Pnma (No. 62)
One atom of each set of equivalent atoms:
Ca: 0.174 0.066 0.163 x8
Sm: 0.043 0.250 0.644 x4
Rh: 0.123 0.750 0.978 x4

Principal peaks in the range 2θ from 15° to 90°, by intensity:
| Position (°2θ) | d/Å | I (rel.) | index |
| --- | --- | --- | --- |
| 18.3 | 4.839 | 100.0 | 0 2 0 |
| 33.2 | 2.699 | 85.3 | 1 3 1 |
| 31.3 | 2.855 | 84.7 | 1 1 2 |
| 20.2 | 4.386 | 55.8 | 1 1 1 |
| 29.0 | 3.083 | 46.6 | 2 1 1 |
| 47.5 | 1.915 | 43.8 | 1 2 3 |